Entry 1:
For PmReSi2Os, a crystal structure in Alexandria, relaxed with PBE gives the theoretical powder X-ray diffraction pattern in this record (Cu Kα, 1.54184 Å).
Peak positions follow from Bragg's law for the DFT cell and can differ from measured ones.

Largest 10 diffraction maxima, by angle, 2θ from 10° to 80°:
two_theta	Rel. int.
17.55	257
23.09	122
34.23	145
35.27	1000
35.53	194
43.44	347
47.41	129
57.33	200
63.64	185
74.42	233

Crystal structure
abc: 5.849 5.849 5.849
angles: 138.27 138.27 60.48
Fractional positions:
Pm: 0.000 0.000 0.000
Re: 0.250 0.750 0.500
Si: 0.374 0.374 0.000
Si: 0.626 0.626 0.000
Os: 0.750 0.250 0.500



Entry 2:
For Tm4Sb3S, a crystal structure in Alexandria, relaxed with PBE gives the theoretical powder X-ray diffraction pattern in this record (Cu Kα, 1.54184 Å).
Peak positions follow from Bragg's law for the DFT cell and can differ from measured ones.

Largest 10 diffraction maxima, by angle, 2θ from 10° to 80°:
two_theta	Rel. int.
25.76	180
29.75	1000
30.00	477
42.57	376
42.76	724
52.95	386
70.06	171
70.19	165
70.58	151
78.05	247

Crystal structure
abc: 7.317 7.317 7.317
angles: 131.53 131.53 70.97
Fractional positions:
Tm: 0.000 0.500 0.500
Tm: 0.239 0.239 0.000
Tm: 0.500 0.000 0.500
Tm: 0.761 0.761 0.000
Sb: 0.250 0.750 0.500
Sb: 0.500 0.500 0.000
Sb: 0.750 0.250 0.500
S: 0.000 0.000 0.000